This entry pairs a crystal structure of Li4SnS4 with its theoretical powder diffractogram. Radiation: a wavelength of 1.5418 Å. Structure: a DFT-relaxed cell (PBE, Alexandria).

Main lines, most intense first (2θ = 10–80°):
2theta	I/Imax
17.16	100
22.27	76
25.90	55
26.31	53
46.18	43
17.75	39
38.04	36
13.07	36
28.62	32
30.65	29

abc: 6.7972 6.7972 7.9883
angles: 90.00 90.00 85.35
Fractional coordinates of all 18 atoms:
1 Li 0.0894 0.6115 0.7500
2 Li 0.3381 0.3381 0.0000
3 Li 0.3381 0.3381 0.5000
4 Li 0.3885 0.9106 0.7500
5 Li 0.6115 0.0894 0.2500
6 Li 0.6619 0.6619 0.0000
7 Li 0.6619 0.6619 0.5000
8 Li 0.9106 0.3885 0.2500
9 Sn 0.1543 0.8457 0.2500
10 Sn 0.8457 0.1543 0.7500
11 S 0.1870 0.2304 0.7500
12 S 0.2304 0.1870 0.2500
13 S 0.2995 0.7005 0.5037
14 S 0.2995 0.7005 0.9963
15 S 0.7005 0.2995 0.0037
16 S 0.7005 0.2995 0.4963
17 S 0.7696 0.8130 0.7500
18 S 0.8130 0.7696 0.2500